Computed X-ray powder pattern
Compound: SrLiLa3MnO8
Radiation: Cu Kα, 1.54184 Å
Structure: a PBE+U-relaxed structure
Neutral-atom scattering factors, no anomalous dispersion.

Atomic structure:
```
data_SrLiLa3MnO8
_symmetry_space_group_name_H-M 'A m m 2'
_symmetry_Int_Tables_number 38
_cell_length_a 5.442
_cell_length_b 5.430
_cell_length_c 12.662
_cell_angle_alpha 90.00
_cell_angle_beta 90.00
_cell_angle_gamma 90.00
loop_
_symmetry_equiv_pos_as_xyz
'x,y,z'
'-x,-y,z'
'-x,y,z'
'x,-y,z'
'x,y+1/2,z+1/2'
'-x,-y+1/2,z+1/2'
'-x,y+1/2,z+1/2'
'x,-y+1/2,z+1/2'
loop_
_atom_site_label
_atom_site_fract_x
_atom_site_fract_y
_atom_site_fract_z
_atom_site_occupancy
Sr1 0.000 0.000 0.000 1
Li1 0.500 0.000 0.131 1
La1 0.000 0.000 0.275 1
La2 0.500 0.000 0.505 1
La3 0.500 0.000 0.781 1
Mn1 0.000 0.000 0.641 1
O1 0.000 0.000 0.478 1
O2 0.000 0.000 0.800 1
O3 0.244 0.245 0.645 1
O4 0.500 0.000 0.326 1
O5 0.500 0.000 0.960 1
```

Main lines, by intensity (10° ≤ 2θ ≤ 80°):
two_theta	Rel. int.	h k l
31.48	100.0	1 1 3
32.95	78.6	2 0 0
24.20	58.4	1 1 1
43.91	55.7	2 0 4
47.30	41.6	2 2 0
57.93	37.1	3 1 3
42.79	30.3	0 0 6
28.19	25.4	0 0 4
56.20	18.1	1 1 7
55.97	15.8	2 2 4